(1)
The following is a simulated XRD peak list of BC5. It was derived from a crystal structure in Alexandria, relaxed with GGA-PBE, using Cu Kα, 1.54184 Å.
Neutral-atom scattering factors, no anomalous dispersion.

Main lines, by angle (2θ = 10–80°):
d/Å	intensity
6.409	92
3.204	12
2.136	296
2.088	1000
1.818	5
1.602	6
1.297	253
1.275	248

Cell and atoms:
abc: 2.5500 2.5500 6.4090
angles: 90.00 90.00 120.00
Atoms (fractional coordinates):
1 B 0.0000 0.0000 0.0000
2 C 0.0000 0.0000 0.2517
3 C 0.3333 0.6667 0.3315
4 C 0.3333 0.6667 0.5734
5 C 0.6667 0.3333 0.6565
6 C 0.6667 0.3333 0.8909

(2)
The following is a simulated XRD peak list of CoRePd3. It was derived from a crystal structure in Alexandria, relaxed with GGA-PBE, using Cu Kα, 1.54184 Å.
Neutral-atom scattering factors, no anomalous dispersion.

Main lines, by angle (2θ = 10–80°):
d/Å	intensity
3.194	243
2.608	1000
2.258	812
1.844	103
1.597	543
1.362	397
1.304	181
1.207	51

Cell and atoms:
abc: 4.5164 4.5164 4.5164
angles: 90.00 90.00 90.00
Atoms (fractional coordinates):
1 Co 0.0000 0.0000 0.0000
2 Re 0.5000 0.5000 0.5000
3 Pd 0.0000 0.0000 0.5000
4 Pd 0.0000 0.5000 0.0000
5 Pd 0.5000 0.0000 0.0000

(3)
The following is a simulated XRD peak list of Ti13S24. It was derived from a crystal structure in Alexandria, relaxed with GGA-PBE, using Cu Kα, 1.54184 Å.
Neutral-atom scattering factors, no anomalous dispersion.

Main lines, by angle (2θ = 10–80°):
d/Å	intensity
5.935	913
2.646	502
2.645	1000
2.096	147
2.094	862
1.706	475
1.644	333
1.640	131

Cell and atoms:
abc: 9.0425 9.0525 10.2338
angles: 67.84 67.79 81.63
Atoms (fractional coordinates):
1 Ti 0.0000 0.0000 0.0000
2 Ti 0.0000 0.5000 0.0000
3 Ti 0.0038 0.0007 0.6605
4 Ti 0.2449 0.7588 0.1684
5 Ti 0.2480 0.7546 0.4971
6 Ti 0.2517 0.7491 0.8325
7 Ti 0.4901 0.5065 0.3330
8 Ti 0.5000 0.5000 0.0000
9 Ti 0.5099 0.4935 0.6670
10 Ti 0.7483 0.2509 0.1675
11 Ti 0.7520 0.2454 0.5029
12 Ti 0.7551 0.2412 0.8316
13 Ti 0.9962 0.9993 0.3395
14 S 0.0386 0.2001 0.7533
15 S 0.0395 0.2039 0.4189
16 S 0.0436 0.2089 0.0827
17 S 0.2074 0.5404 0.0850
18 S 0.2073 0.5399 0.7506
19 S 0.2099 0.5486 0.4133
20 S 0.2862 0.9525 0.9193
21 S 0.2859 0.9558 0.2537
22 S 0.2881 0.9522 0.5869
23 S 0.4649 0.2975 0.2464
24 S 0.4675 0.2967 0.9134
25 S 0.4681 0.2984 0.5762
26 S 0.5319 0.7016 0.4238
27 S 0.5325 0.7033 0.0866
28 S 0.5351 0.7025 0.7536
29 S 0.7119 0.0478 0.4131
30 S 0.7141 0.0442 0.7463
31 S 0.7138 0.0475 0.0807
32 S 0.7901 0.4514 0.5867
33 S 0.7927 0.4601 0.2494
34 S 0.7926 0.4596 0.9150
35 S 0.9564 0.7911 0.9173
36 S 0.9605 0.7961 0.5811
37 S 0.9614 0.7999 0.2467

(4)
The following is a simulated XRD peak list of Mg2ZnAg7Sn2. It was derived from a crystal structure in Alexandria, relaxed with GGA-PBE, using Cu Kα, 1.54184 Å.
Neutral-atom scattering factors, no anomalous dispersion.

Main lines, by angle (2θ = 10–80°):
d/Å	intensity
3.118	512
2.528	653
2.442	1000
2.426	852
2.218	860
2.210	567
2.175	732
2.037	316

Cell and atoms:
abc: 4.4284 4.4284 12.2211
angles: 90.27 90.27 93.48
Atoms (fractional coordinates):
1 Mg 0.0002 0.0002 0.1990
2 Mg 0.9998 0.9998 0.8010
3 Zn 0.5000 0.5000 0.5000
4 Ag 0.0000 0.0000 0.5000
5 Ag 0.0012 0.4988 0.3548
6 Ag 0.2388 0.2388 0.0007
7 Ag 0.4988 0.0012 0.3548
8 Ag 0.5012 0.9988 0.6452
9 Ag 0.7612 0.7612 0.9993
10 Ag 0.9988 0.5012 0.6452
11 Sn 0.4981 0.4981 0.8041
12 Sn 0.5019 0.5019 0.1959

(5)
The following is a simulated XRD peak list of In6Hg8Br. It was derived from a crystal structure in Alexandria, relaxed with GGA-PBE, using Cu Kα, 1.54184 Å.
Neutral-atom scattering factors, no anomalous dispersion.

Main lines, by angle (2θ = 10–80°):
d/Å	intensity
3.731	114
2.868	1000
2.847	132
2.837	113
2.666	135
2.420	119
2.196	122
2.174	122

Cell and atoms:
abc: 7.1753 7.4990 8.7924
angles: 70.72 78.44 74.50
Atoms (fractional coordinates):
1 In 0.0789 0.1808 0.3803
2 In 0.2660 0.4212 0.9185
3 In 0.3886 0.9749 0.6827
4 In 0.6114 0.0251 0.3173
5 In 0.7340 0.5788 0.0815
6 In 0.9211 0.8192 0.6197
7 Hg 0.0486 0.8338 0.9321
8 Hg 0.0955 0.3549 0.6592
9 Hg 0.3468 0.7157 0.4420
10 Hg 0.3588 0.4539 0.2377
11 Hg 0.6412 0.5461 0.7623
12 Hg 0.6532 0.2843 0.5580
13 Hg 0.9045 0.6451 0.3408
14 Hg 0.9514 0.1662 0.0679
15 Br 0.5000 0.0000 0.0000

(6)
The following is a simulated XRD peak list of Rb3RhBr8. It was derived from a crystal structure in Alexandria, relaxed with GGA-PBE, using Cu Kα, 1.54184 Å.
Neutral-atom scattering factors, no anomalous dispersion.

Main lines, by angle (2θ = 10–80°):
d/Å	intensity
6.926	563
4.219	765
3.032	715
2.777	270
2.462	423
2.423	1000
2.331	237
2.309	269

Cell and atoms:
abc: 8.4414 8.4414 8.4414
angles: 118.95 118.95 91.83
Atoms (fractional coordinates):
1 Rb 0.0000 0.0000 0.0000
2 Rb 0.2500 0.7500 0.5000
3 Rb 0.7500 0.2500 0.5000
4 Rh 0.5000 0.5000 0.0000
5 Br 0.1736 0.1736 0.6124
6 Br 0.1736 0.5613 0.0000
7 Br 0.4387 0.4387 0.6124
8 Br 0.4387 0.8264 0.0000
9 Br 0.5613 0.1736 0.0000
10 Br 0.5613 0.5613 0.3876
11 Br 0.8264 0.4387 0.0000
12 Br 0.8264 0.8264 0.3876